This entry pairs a crystal structure of MgCo2Bi2O8 with its computed powder diffraction line list. Radiation: Cu Kα, 1.54184 Å. Structure: a structure optimized by DFT (PBE+U).
Peak positions follow from Bragg's law for the DFT cell and can differ from measured ones.

Structure:
a b c (Å): 5.8051 6.4509 6.4615
angles (deg): 60.11 65.83 66.08
Atoms (fractional coordinates):
Mg 0.0000 0.0000 0.0000
Co 0.0000 0.5000 0.5000
Co 0.5000 0.5000 0.5000
Bi 0.0000 0.0000 0.5000
Bi 0.0000 0.5000 0.0000
O 0.2067 0.7897 0.7877
O 0.2169 0.2803 0.2781
O 0.2169 0.3093 0.7563
O 0.2183 0.7560 0.3101
O 0.7817 0.2440 0.6899
O 0.7831 0.6907 0.2437
O 0.7831 0.7197 0.7219
O 0.7933 0.2103 0.2123

Largest 8 diffraction maxima, in order of rising 2θ, 15° ≤ 2θ ≤ 90°:
17.32°, I = 100.0, hkl 1 0 0
17.99°, I = 26.5, hkl 0 1 1
18.18°, I = 59.8, hkl 1 1 1
30.52°, I = 20.6, hkl -1 1 1
33.15°, I = 57.2, hkl 1 0 2
36.45°, I = 31.0, hkl 0 2 2
41.74°, I = 30.4, hkl 2 0 2
41.96°, I = 23.2, hkl 2 2 0